# 1
# Cu2GeTe2F2
Theoretical PXRD pattern, λ = 1.5418 Å (Cu Kα). Input: the PBE geometry in OQMD.
Intensities are scaled so that the largest is 100.

Main lines, sorted by position (10° ≤ 2θ ≤ 80°):
3.453 Å, 2θ = 25.80°, I = 61; 2.876 Å, 2θ = 31.10°, I = 97; 2.644 Å, 2θ = 33.90°, I = 44; 2.340 Å, 2θ = 38.48°, I = 71; 2.280 Å, 2θ = 39.53°, I = 100; 1.870 Å, 2θ = 48.70°, I = 53; 1.568 Å, 2θ = 58.92°, I = 30; 1.461 Å, 2θ = 63.71°, I = 31

Structure:
Cell lengths 3.7396, 3.7396, 8.9977 Å; angles 90.00, 90.00, 90.00 degrees
Positions (direct):
Cu 0.0000 0.5000 0.1343
Cu 0.5000 0.0000 0.8657
Ge 0.0000 0.0000 0.5000
Te 0.0000 0.5000 0.7162
Te 0.5000 0.0000 0.2838
F 0.0000 0.0000 0.0000
F 0.5000 0.5000 0.0000

# 2
# CuH18N6F2
Theoretical PXRD pattern, λ = 1.5418 Å (Cu Kα). Input: the PBE geometry in OQMD.
Intensities are scaled so that the largest is 100.

Main lines, sorted by position (10° ≤ 2θ ≤ 80°):
6.479 Å, 2θ = 13.67°, I = 97; 4.939 Å, 2θ = 17.96°, I = 100; 4.546 Å, 2θ = 19.53°, I = 60; 4.361 Å, 2θ = 20.36°, I = 74; 2.838 Å, 2θ = 31.52°, I = 74; 2.683 Å, 2θ = 33.39°, I = 37; 2.473 Å, 2θ = 36.33°, I = 40; 2.423 Å, 2θ = 37.10°, I = 60

Structure:
Cell lengths 6.9396, 5.8971, 9.6668 Å; angles 90.00, 110.80, 90.00 degrees
Positions (direct):
Cu 0.1257 0.0000 0.2935
Cu 0.8743 0.5000 0.7065
H 0.0051 0.4546 0.9830
H 0.0510 0.3374 0.4378
H 0.0566 0.5842 0.2016
H 0.1189 0.8358 0.7390
H 0.1444 0.6450 0.6141
H 0.1480 0.6514 0.9375
H 0.1986 0.3734 0.9275
H 0.2269 0.5843 0.3743
H 0.3040 0.6534 0.2333
H 0.3180 0.1002 0.1024
H 0.3211 0.8868 0.5686
H 0.3409 0.1651 0.5428
H 0.3751 0.3405 0.1973
H 0.3764 0.0853 0.8741
H 0.3883 0.2914 0.7600
H 0.4413 0.7837 0.0687
H 0.4820 0.9793 0.4862
H 0.4947 0.1044 0.2727
H 0.5053 0.6044 0.7273
H 0.5180 0.4793 0.5138
H 0.5587 0.2837 0.9313
H 0.6117 0.7914 0.2400
H 0.6236 0.5853 0.1259
H 0.6249 0.8405 0.8027
H 0.6591 0.6651 0.4572
H 0.6789 0.3868 0.4314
H 0.6820 0.6002 0.8976
H 0.6960 0.1534 0.7667
H 0.7731 0.0843 0.6257
H 0.8014 0.8734 0.0725
H 0.8520 0.1514 0.0625
H 0.8556 0.1450 0.3859
H 0.8811 0.3358 0.2610
H 0.9434 0.0842 0.7984
H 0.9490 0.8374 0.5622
H 0.9949 0.9546 0.0170
N 0.0426 0.7387 0.6473
N 0.0850 0.4909 0.9136
N 0.1838 0.6657 0.2738
N 0.3416 0.0060 0.4986
N 0.3553 0.1696 0.2063
N 0.4757 0.1852 0.8426
N 0.5243 0.6852 0.1574
N 0.6447 0.6696 0.7937
N 0.6584 0.5060 0.5014
N 0.8162 0.1657 0.7262
N 0.9150 0.9909 0.0864
N 0.9574 0.2387 0.3527
F 0.1863 0.9478 0.9274
F 0.2984 0.4619 0.5662
F 0.7016 0.9619 0.4338
F 0.8137 0.4478 0.0726

# 3
# K2CuHgF6
Theoretical PXRD pattern, λ = 1.5418 Å (Cu Kα). Input: the PBE geometry in OQMD.
Intensities are scaled so that the largest is 100.

Main lines, sorted by position (10° ≤ 2θ ≤ 80°):
4.791 Å, 2θ = 18.52°, I = 51; 4.149 Å, 2θ = 21.41°, I = 100; 2.940 Å, 2θ = 30.41°, I = 83; 2.928 Å, 2θ = 30.53°, I = 88; 2.504 Å, 2θ = 35.86°, I = 35; 2.075 Å, 2θ = 43.63°, I = 62; 1.853 Å, 2θ = 49.17°, I = 25; 1.696 Å, 2θ = 54.08°, I = 57

Structure:
Cell lengths 5.8571, 5.8571, 5.8571 Å; angles 60.25, 60.25, 60.25 degrees
Positions (direct):
K 0.0000 0.0000 0.0000
K 0.4988 0.4988 0.4988
Cu 0.2486 0.2486 0.2486
Hg 0.7487 0.7487 0.7487
F 0.0154 0.4212 0.5437
F 0.0760 0.9532 0.4803
F 0.4212 0.5437 0.0154
F 0.4803 0.0760 0.9532
F 0.5437 0.0154 0.4212
F 0.9532 0.4803 0.0760